# 1
# NbPd
Calculated X-ray powder pattern, λ = 1.5418 Å (Cu Kα). Input: the GGA-PBE geometry in the Materials Project.

Cell and atoms:
a = 2.8741 Å, b = 2.8741 Å, c = 14.0878 Å
α = 90.00°, β = 90.00°, γ = 120.00°
Space group R-3m (No. 166, hexagonal axes)
Unique sites:
Nb  0.0000  0.0000  0.0000 (multiplicity 3)
Pd  0.0000  0.0000  0.5000 (multiplicity 3)

Main lines, by intensity (15 to 90 degrees two-theta):
2θ (°)	d/Å	I/Imax	h k l
38.35	2.347	100	0 1 2
44.58	2.033	49	1 0 4
77.94	1.226	36	2 0 2
64.87	1.437	31	1 1 0
82.13	1.174	10	0 2 4
18.90	4.696	1	0 0 3

=====

# 2
# Nb6PdPt
Calculated X-ray powder pattern, λ = 1.5418 Å (Cu Kα). Input: the GGA-PBE geometry in the Materials Project.

Cell and atoms:
a = 5.2007 Å, b = 5.2007 Å, c = 5.2007 Å
α = 90.00°, β = 90.00°, γ = 90.00°
Space group Pm-3 (No. 200)
Unique sites:
Nb  0.0000  0.2517  0.5000 (multiplicity 6)
Pd  0.0000  0.0000  0.0000 (multiplicity 1)
Pt  0.5000  0.5000  0.5000 (multiplicity 1)

Main lines, by intensity (15 to 90 degrees two-theta):
2θ (°)	d/Å	I/Imax	h k l
42.58	2.123	100	2 1 1
38.72	2.326	83	2 0 1
67.37	1.390	51	3 2 1
34.49	2.600	45	2 0 0
64.62	1.442	18	3 2 0
85.58	1.135	16	4 1 2
72.73	1.300	16	4 0 0
83.05	1.163	14	4 2 0
88.10	1.109	13	3 3 2
24.20	3.677	10	1 1 0

=====

# 3
# Nb2PdS5
Calculated X-ray powder pattern, λ = 1.5418 Å (Cu Kα). Input: the GGA-PBE geometry in the Materials Project.

Cell and atoms:
a = 12.5665 Å, b = 3.3088 Å, c = 15.3949 Å
α = 90.00°, β = 103.01°, γ = 90.00°
Space group C2/m (No. 12)
Unique sites:
Nb  0.0766  0.0000  0.1810 (multiplicity 4)
Nb  0.1525  0.5000  0.3748 (multiplicity 4)
Pd  0.0000  0.5000  0.0000 (multiplicity 2)
Pd  0.0000  0.5000  0.5000 (multiplicity 2)
S  0.0047  0.0000  0.3175 (multiplicity 4)
S  0.0712  0.5000  0.8709 (multiplicity 4)
S  0.1478  0.0000  0.5061 (multiplicity 4)
S  0.1703  0.5000  0.1030 (multiplicity 4)
S  0.2492  0.0000  0.2983 (multiplicity 4)

Main lines, by intensity (15 to 90 degrees two-theta):
2θ (°)	d/Å	I/Imax	h k l
39.60	2.276	100	3 1 -4
31.07	2.878	85	1 1 2
38.61	2.332	71	3 1 2
35.60	2.522	49	2 0 -6
32.36	2.767	44	1 1 -3
58.52	1.577	30	1 1 8
35.92	2.500	27	0 0 6
55.55	1.654	26	0 2 0
42.10	2.147	24	4 0 4
47.67	1.908	22	5 1 1

=====

What did the first record say?
# NbPd
Calculated X-ray powder pattern, λ = 1.5418 Å (Cu Kα). Input: the GGA-PBE geometry in the Materials Project.

Cell and atoms:
a = 2.8741 Å, b = 2.8741 Å, c = 14.0878 Å
α = 90.00°, β = 90.00°, γ = 120.00°
Space group R-3m (No. 166, hexagonal axes)
Unique sites:
Nb  0.0000  0.0000  0.0000 (multiplicity 3)
Pd  0.0000  0.0000  0.5000 (multiplicity 3)

Main lines, by intensity (15 to 90 degrees two-theta):
2θ (°)	d/Å	I/Imax	h k l
38.35	2.347	100	0 1 2
44.58	2.033	49	1 0 4
77.94	1.226	36	2 0 2
64.87	1.437	31	1 1 0
82.13	1.174	10	0 2 4
18.90	4.696	1	0 0 3